Structure and computed X-ray diffraction stick pattern of Er2TmTl2Cd4 (a structure optimized by DFT (GGA-PBE); Cu Kα X-rays).

Atomic structure:
abc: 4.5394 7.5094 7.5094
angles: 119.90 90.00 90.00
Sites, in units of the cell vectors:
Er  0.0000  0.2142  0.7858
Er  0.0000  0.7858  0.2142
Tm  0.0000  0.3570  0.3570
Tl  0.5000  0.1194  0.4520
Tl  0.5000  0.4520  0.1194
Cd  0.0000  0.7846  0.7846
Cd  0.5000  0.0251  0.0251
Cd  0.5000  0.5455  0.7856
Cd  0.5000  0.7856  0.5455

The 12 most intense peaks (10° ≤ 2θ ≤ 90°), by intensity:
33.90 deg, intensity 100.0
30.90 deg, intensity 76.2
36.54 deg, intensity 38.3
39.71 deg, intensity 31.0
55.06 deg, intensity 23.3
41.77 deg, intensity 22.7
41.64 deg, intensity 20.3
65.89 deg, intensity 15.7
58.90 deg, intensity 14.6
54.74 deg, intensity 14.6
68.37 deg, intensity 13.0
65.77 deg, intensity 12.3

---

Structure and computed X-ray diffraction stick pattern of ErTmCd6 (a structure optimized by DFT (GGA-PBE); Cu Kα X-rays).

Atomic structure:
abc: 4.8157 6.4049 6.4049
angles: 68.05 90.00 90.00
Sites, in units of the cell vectors:
Er  0.0000  0.0000  0.0000
Tm  0.5000  0.2622  0.2622
Cd  0.0000  0.4543  0.4543
Cd  0.0000  0.5111  0.9423
Cd  0.0000  0.9423  0.5111
Cd  0.5000  0.3199  0.7510
Cd  0.5000  0.7510  0.3199
Cd  0.5000  0.8078  0.8078

The 12 most intense peaks (10° ≤ 2θ ≤ 90°), by intensity:
35.51 deg, intensity 100.0
33.80 deg, intensity 35.4
37.35 deg, intensity 27.8
38.74 deg, intensity 16.2
66.17 deg, intensity 15.6
71.16 deg, intensity 12.7
58.13 deg, intensity 11.8
51.23 deg, intensity 11.3
30.09 deg, intensity 9.5
74.04 deg, intensity 8.9
50.96 deg, intensity 7.9
64.86 deg, intensity 7.5

---

Structure and computed X-ray diffraction stick pattern of ErTmCd6 (a structure optimized by DFT (GGA-PBE); Cu Kα X-rays).

Atomic structure:
abc: 5.0367 7.0945 5.0377
angles: 90.00 90.00 90.00
Sites, in units of the cell vectors:
Er  0.0000  0.0000  0.0000
Tm  0.5000  0.5000  0.4908
Cd  0.0000  0.2503  0.5005
Cd  0.0000  0.5000  0.9997
Cd  0.0000  0.7497  0.5005
Cd  0.5000  0.0000  0.4912
Cd  0.5000  0.2504  0.9904
Cd  0.5000  0.7496  0.9904

The 12 most intense peaks (10° ≤ 2θ ≤ 90°), by intensity:
35.70 deg, intensity 100.0
64.08 deg, intensity 23.1
51.30 deg, intensity 11.5
64.23 deg, intensity 11.5
86.41 deg, intensity 10.3
75.68 deg, intensity 7.1
51.53 deg, intensity 5.7
86.78 deg, intensity 5.1
75.50 deg, intensity 3.6
21.64 deg, intensity 2.3
42.08 deg, intensity 0.9
25.00 deg, intensity 0.8

---

Structure and computed X-ray diffraction stick pattern of ErTmCd6 (a structure optimized by DFT (GGA-PBE); Cu Kα X-rays).

Atomic structure:
abc: 5.0275 5.0275 7.1227
angles: 90.00 90.00 90.00
Sites, in units of the cell vectors:
Er  0.0000  0.0000  0.0000
Tm  0.5000  0.5000  0.5000
Cd  0.0000  0.0000  0.5000
Cd  0.0000  0.5000  0.2507
Cd  0.0000  0.5000  0.7493
Cd  0.5000  0.0000  0.2507
Cd  0.5000  0.0000  0.7493
Cd  0.5000  0.5000  0.0000

The 11 most intense peaks (10° ≤ 2θ ≤ 90°), by intensity:
35.70 deg, intensity 100.0
64.13 deg, intensity 34.7
51.37 deg, intensity 17.3
75.61 deg, intensity 10.7
86.58 deg, intensity 10.3
86.42 deg, intensity 5.2
21.64 deg, intensity 2.3
42.13 deg, intensity 1.3
25.03 deg, intensity 1.2
56.37 deg, intensity 0.6
57.97 deg, intensity 0.6